[1]
Computed powder diffractogram of ScMn6Re2 for Cu Kα, 1.54184 Å, from DFT lattice parameters and positions (PBE).
Intensities are scaled so that the largest is 100.

```
ScMn6Re2
1.0
6.6157 -3.3323 0.0000
6.6157 3.3323 0.0000
-0.5534 0.0000 2.6809
Sc Mn Re
1 6 2
Direct
0.0000 0.0000 0.0000 Sc
0.0117 0.3510 0.6804 Mn
0.3361 0.6639 0.5000 Mn
0.3510 0.0117 0.6804 Mn
0.6490 0.9883 0.3196 Mn
0.6639 0.3361 0.5000 Mn
0.9883 0.6490 0.3196 Mn
0.3566 0.3566 0.8593 Re
0.6434 0.6434 0.1407 Re
```

Principal peaks in the range 2θ from 5° to 70°, in order of rising 2θ:
5.927 Å, I = 100
3.625 Å, I = 38
3.332 Å, I = 19
2.532 Å, I = 47
2.322 Å, I = 31
2.160 Å, I = 35
2.088 Å, I = 53
1.999 Å, I = 34
1.991 Å, I = 32
1.976 Å, I = 78


[2]
Computed powder diffractogram of RbB3P for Cu Kα, 1.54184 Å, from DFT lattice parameters and positions (PBE).
Intensities are scaled so that the largest is 100.

```
RbB3P
1.0
-2.2566 3.1784 7.1404
2.2566 -3.1784 7.1404
2.2566 3.1784 -7.1404
Rb B P
2 6 2
Direct
0.0000 0.0000 0.0000 Rb
0.2647 0.2647 0.0000 Rb
0.4967 0.6544 0.8423 B
0.6248 0.3116 0.6868 B
0.6248 0.9379 0.3132 B
0.7406 0.5552 0.8146 B
0.7406 0.9260 0.1854 B
0.8121 0.6544 0.1577 B
0.5302 0.5302 0.0000 P
0.8294 0.3294 0.5000 P
```

Principal peaks in the range 2θ from 5° to 70°, in order of rising 2θ:
4.303 Å, I = 29
3.810 Å, I = 38
3.680 Å, I = 78
3.570 Å, I = 33
3.275 Å, I = 51
3.178 Å, I = 55
2.561 Å, I = 100
2.374 Å, I = 27
1.690 Å, I = 24
1.606 Å, I = 26


[3]
Computed powder diffractogram of Sc7Sn2Pt2 for Cu Kα, 1.54184 Å, from DFT lattice parameters and positions (PBE).
Intensities are scaled so that the largest is 100.

```
Sc7Sn2Pt2
1.0
3.9548 -5.1387 0.0000
3.9548 5.1387 0.0000
0.0000 0.0000 6.6261
Sc Sn Pt
7 2 2
Direct
0.0000 0.0000 0.0000 Sc
0.0000 0.5000 0.2510 Sc
0.0000 0.5000 0.7490 Sc
0.5000 0.0000 0.2510 Sc
0.5000 0.0000 0.7490 Sc
0.5000 0.5000 0.2397 Sc
0.5000 0.5000 0.7603 Sc
0.1858 0.1858 0.5000 Sn
0.8142 0.8142 0.5000 Sn
0.2828 0.7172 0.0000 Pt
0.7172 0.2828 0.0000 Pt
```

Principal peaks in the range 2θ from 5° to 70°, in order of rising 2θ:
6.626 Å, I = 17
4.061 Å, I = 88
3.396 Å, I = 71
3.313 Å, I = 14
3.140 Å, I = 18
2.569 Å, I = 31
2.278 Å, I = 100
2.049 Å, I = 22
2.029 Å, I = 20
1.992 Å, I = 25